Diffraction record for Rb2TeWO6. The X-ray powder pattern is calculated, not measured: it uses a crystal structure in Alexandria, relaxed with GGA+U and CuKα.

Peak list (10 most intense, 2θ = 10–80°, in order of rising 2θ)
| two_theta | Rel. int. |
| --- | --- |
| 18.36 | 4.8 |
| 21.23 | 16.9 |
| 30.20 | 100.0 |
| 43.24 | 30.5 |
| 48.65 | 7.1 |
| 53.65 | 40.2 |
| 62.80 | 18.9 |
| 67.10 | 3.2 |
| 71.26 | 17.9 |
| 79.31 | 6.3 |

Crystal structure
a b c (Å): 5.918 5.918 5.918
angles (deg): 60.00 60.00 60.00
Positions (direct):
Rb  0.250  0.250  0.250
Rb  0.750  0.750  0.750
Te  0.000  0.000  0.000
W  0.500  0.500  0.500
O  0.265  0.265  0.735
O  0.265  0.735  0.265
O  0.265  0.735  0.735
O  0.735  0.265  0.265
O  0.735  0.265  0.735
O  0.735  0.735  0.265